For Pr3Mg, a GGA-PBE-relaxed structure gives the computed powder diffraction line list in this record (Cu Kα).

Structural model:
```
data_Pr3Mg
_symmetry_space_group_name_H-M 'I 4/m m m'
_symmetry_Int_Tables_number 139
_symmetry_space_group_name_Hall '-I 4 2'
_cell_length_a 5.0444
_cell_length_b 5.0444
_cell_length_c 10.2885
_cell_angle_alpha 90.00
_cell_angle_beta 90.00
_cell_angle_gamma 90.00
loop_
_atom_site_label
_atom_site_fract_x
_atom_site_fract_y
_atom_site_fract_z
Pr1 0.0000 0.0000 0.0000
Pr2 0.0000 0.5000 0.2500
Mg1 0.0000 0.0000 0.5000
```

Largest 10 diffraction maxima, most intense first, 10° ≤ 2θ ≤ 80°:
d [Å]	I (rel.)
2.931	100
2.522	33
1.524	28
1.801	24
4.529	19
2.572	17
1.545	15
1.466	12
1.783	12
5.144	7